1.
Calculated X-ray diffraction stick pattern
Compound: FeAg3C6N6
Radiation: Cu Kα X-rays
Structure: a cell relaxed with GGA-PBE
Peak positions follow from Bragg's law for the DFT cell and can differ from measured ones.

Unit cell a=6.8341 b=6.8341 c=7.3502 alpha=90.00 beta=90.00 gamma=120.00
Space group P-31m (No. 162)
Asymmetric unit:
Fe1 0.0000 0.0000 0.0000 x1
Ag1 0.0000 0.5000 0.5000 x3
C1 0.0000 0.2162 0.1577 x6
N1 0.0000 0.3406 0.2675 x6

Top 8 peaks for 10° ≤ 2θ ≤ 90°, sorted by position:
hkl 0 0 1, d = 7.350 Å, 2θ = 12.0°, I = 74
hkl 1 0 1, d = 4.610 Å, 2θ = 19.3°, I = 100
hkl 0 0 2, d = 3.675 Å, 2θ = 24.2°, I = 20
hkl 2 -1 1, d = 3.099 Å, 2θ = 28.8°, I = 40
hkl 2 0 0, d = 2.959 Å, 2θ = 30.2°, I = 65
hkl 2 0 1, d = 2.745 Å, 2θ = 32.6°, I = 60
hkl 2 0 2, d = 2.305 Å, 2θ = 39.1°, I = 69
hkl 4 -2 2, d = 1.549 Å, 2θ = 59.7°, I = 22

2.
Calculated X-ray diffraction stick pattern
Compound: Fe2BiSb
Radiation: Cu Kα X-rays
Structure: a cell relaxed with GGA-PBE
Peak positions follow from Bragg's law for the DFT cell and can differ from measured ones.

Unit cell a=6.486 b=6.486 c=6.486 alpha=90.00 beta=90.00 gamma=90.00
Space group Pm-3m (No. 221)
Asymmetric unit:
Fe1 0.229 0.229 0.229 x8
Bi1 0.000 0.500 0.500 x3
Bi2 0.500 0.500 0.500 x1
Sb1 0.000 0.000 0.000 x1
Sb2 0.000 0.000 0.500 x3

Top 8 peaks for 10° ≤ 2θ ≤ 90°, sorted by position:
hkl 2 0 0, d = 3.243 Å, 2θ = 27.5°, I = 30
hkl 2 1 0, d = 2.900 Å, 2θ = 30.8°, I = 7
hkl 2 2 0, d = 2.293 Å, 2θ = 39.3°, I = 100
hkl 2 2 2, d = 1.872 Å, 2θ = 48.6°, I = 10
hkl 4 0 0, d = 1.621 Å, 2θ = 56.8°, I = 16
hkl 4 2 0, d = 1.450 Å, 2θ = 64.2°, I = 14
hkl 4 2 2, d = 1.324 Å, 2θ = 71.2°, I = 32
hkl 4 4 0, d = 1.147 Å, 2θ = 84.5°, I = 10

3.
Calculated X-ray diffraction stick pattern
Compound: SrCuB2
Radiation: Cu Kα X-rays
Structure: a cell relaxed with GGA-PBE
Peak positions follow from Bragg's law for the DFT cell and can differ from measured ones.

Unit cell a=6.209 b=6.209 c=6.209 alpha=90.00 beta=90.00 gamma=90.00
Space group F-43m (No. 216)
Asymmetric unit:
Sr1 0.000 0.000 0.000 x4
Cu1 0.250 0.250 0.750 x4
B1 0.000 0.000 0.500 x4
B2 0.250 0.250 0.250 x4

Top 8 peaks for 10° ≤ 2θ ≤ 90°, sorted by position:
hkl 1 1 1, d = 3.585 Å, 2θ = 24.8°, I = 85
hkl 2 2 0, d = 2.195 Å, 2θ = 41.1°, I = 100
hkl 3 1 1, d = 1.872 Å, 2θ = 48.6°, I = 43
hkl 4 0 0, d = 1.552 Å, 2θ = 59.6°, I = 16
hkl 3 3 1, d = 1.424 Å, 2θ = 65.5°, I = 17
hkl 4 2 2, d = 1.267 Å, 2θ = 74.9°, I = 31
hkl 5 1 1, d = 1.195 Å, 2θ = 80.4°, I = 13
hkl 4 4 0, d = 1.098 Å, 2θ = 89.2°, I = 10

4.
Calculated X-ray diffraction stick pattern
Compound: SrMg2PtAu
Radiation: Cu Kα X-rays
Structure: a cell relaxed with GGA-PBE
Peak positions follow from Bragg's law for the DFT cell and can differ from measured ones.

Unit cell a=4.340 b=4.340 c=12.228 alpha=90.00 beta=90.00 gamma=90.00
Space group I4mm (No. 107)
Asymmetric unit:
Sr1 0.000 0.000 0.000 x2
Mg1 0.000 0.500 0.240 x4
Pt1 0.000 0.000 0.612 x2
Au1 0.000 0.000 0.385 x2

Top 8 peaks for 10° ≤ 2θ ≤ 90°, sorted by position:
hkl 1 0 1, d = 4.090 Å, 2θ = 21.7°, I = 87
hkl 1 1 0, d = 3.069 Å, 2θ = 29.1°, I = 93
hkl 1 0 3, d = 2.971 Å, 2θ = 30.1°, I = 85
hkl 1 1 2, d = 2.743 Å, 2θ = 32.7°, I = 29
hkl 2 0 0, d = 2.168 Å, 2θ = 41.7°, I = 100
hkl 1 0 5, d = 2.131 Å, 2θ = 42.4°, I = 73
hkl 2 1 3, d = 1.752 Å, 2θ = 52.2°, I = 37
hkl 2 1 5, d = 1.520 Å, 2θ = 60.9°, I = 51

5.
Calculated X-ray diffraction stick pattern
Compound: LaNdBi2Se2
Radiation: Cu Kα X-rays
Structure: a cell relaxed with GGA-PBE
Peak positions follow from Bragg's law for the DFT cell and can differ from measured ones.

Unit cell a=4.367 b=4.367 c=9.270 alpha=90.00 beta=90.00 gamma=90.00
Space group P4mm (No. 99)
Asymmetric unit:
La1 0.000 0.000 0.000 x1
Nd1 0.500 0.500 0.390 x1
Bi1 0.000 0.500 0.694 x2
Se1 0.000 0.000 0.326 x1
Se2 0.500 0.500 0.065 x1

Top 8 peaks for 10° ≤ 2θ ≤ 90°, sorted by position:
hkl 0 0 3, d = 3.090 Å, 2θ = 28.9°, I = 46
hkl 1 1 1, d = 2.930 Å, 2θ = 30.5°, I = 100
hkl 1 1 2, d = 2.570 Å, 2θ = 34.9°, I = 76
hkl 2 0 0, d = 2.183 Å, 2θ = 41.4°, I = 43
hkl 2 0 3, d = 1.783 Å, 2θ = 51.2°, I = 38
hkl 1 1 5, d = 1.589 Å, 2θ = 58.0°, I = 20
hkl 3 1 1, d = 1.366 Å, 2θ = 68.7°, I = 20
hkl 3 1 2, d = 1.324 Å, 2θ = 71.2°, I = 21